Record 1
Diffraction record for AsHW. The PXRD pattern is computed, not measured: it uses a structure optimized by DFT (GGA-PBE) and Cu Kα (weighted mean of Kα1 and Kα2).
Peak positions follow from Bragg's law for the DFT cell and can differ from measured ones.

Structural model:
```
48
Lattice="-6.845 6.845 3.755 6.845 -6.845 3.755 6.845 6.845 -3.755" Properties=species:S:1:pos:R:3 pbc="T T T"
As 4.847 -2.987 1.737
As 4.847 3.859 -1.737
As 6.409 1.424 -0.140
As 2.130 3.321 0.348
As -0.102 1.292 1.530
As 4.715 -3.321 4.103
As 7.281 5.421 -0.140
As 6.743 1.292 2.225
As 0.102 5.553 1.530
As -0.436 1.424 3.895
As 2.130 10.166 -0.348
As 6.947 5.553 2.225
As 4.715 3.524 3.407
As 0.436 5.421 3.895
As 1.998 2.987 5.492
As 1.998 9.832 2.018
H 5.472 6.110 -2.892
H 1.863 -0.761 1.570
H 9.507 1.559 0.307
H 8.709 -0.761 2.185
H 4.157 2.050 1.015
H 5.472 -0.735 2.892
H 4.183 5.286 0.307
H 2.688 -2.050 4.770
H 4.157 8.895 -1.015
H 2.662 1.559 3.448
H 1.373 7.580 0.863
H 2.688 4.795 2.740
H -1.863 7.606 1.570
H -2.662 5.286 3.448
H 4.982 7.606 2.185
H 1.373 0.735 6.647
W 3.990 1.593 -0.743
W 5.015 -0.567 1.134
W 11.279 0.790 0.415
W 2.632 1.011 1.462
W 2.856 -1.593 3.012
W 5.015 6.278 -1.134
W 9.477 1.011 2.293
W 2.412 6.055 0.415
W 4.433 0.790 3.340
W -2.632 5.834 1.462
W 1.830 0.567 4.889
W 3.990 8.438 0.743
W 4.213 5.834 2.293
W -4.433 6.055 3.340
W 1.830 7.412 2.621
W 2.856 5.252 4.498
```

The 8 most intense peaks (2θ from 10° to 90°), by angle:
2θ 12.93, I = 100
2θ 30.12, I = 17
2θ 31.54, I = 35
2θ 37.34, I = 19
2θ 39.49, I = 20
2θ 41.90, I = 23
2θ 44.04, I = 17
2θ 45.57, I = 16

***

Record 2
Diffraction record for PmNd5Dy8. The PXRD pattern is computed, not measured: it uses a structure optimized by DFT (GGA-PBE) and Cu Kα (weighted mean of Kα1 and Kα2).
Peak positions follow from Bragg's law for the DFT cell and can differ from measured ones.

Structural model:
```
14
Lattice="8.725 -1.780 0.000 8.725 1.780 0.000 -7.976 0.000 14.905" Properties=species:S:1:pos:R:3 pbc="T T T"
Pm 0.000 0.000 0.000
Nd -0.983 0.000 6.567
Nd 2.576 0.000 2.138
Nd 4.736 0.000 7.452
Nd 6.897 0.000 12.766
Nd 10.456 0.000 8.338
Dy -4.351 0.000 10.786
Dy 2.131 0.000 5.273
Dy 5.682 0.000 0.903
Dy 1.157 0.000 11.584
Dy 8.316 0.000 3.320
Dy 3.791 0.000 14.002
Dy 7.342 0.000 9.632
Dy 13.823 0.000 4.119
```

The 8 most intense peaks (2θ from 10° to 90°), by angle:
2θ 29.80, I = 38
2θ 31.05, I = 100
2θ 31.22, I = 48
2θ 32.39, I = 45
2θ 32.75, I = 44
2θ 41.33, I = 14
2θ 47.68, I = 19
2θ 61.26, I = 29

***

Record 3
Diffraction record for LiPmAs2O8. The PXRD pattern is computed, not measured: it uses a structure optimized by DFT (GGA-PBE) and Cu Kα (weighted mean of Kα1 and Kα2).
Peak positions follow from Bragg's law for the DFT cell and can differ from measured ones.

Structural model:
```
12
Lattice="-3.612 3.612 3.256 3.612 -3.612 3.256 3.612 3.612 -3.256" Properties=species:S:1:pos:R:3 pbc="T T T"
Li 0.000 0.000 0.000
Pm 0.000 3.612 1.628
As 3.612 0.000 1.628
As 0.000 0.000 3.256
O 2.271 0.000 0.538
O 4.953 0.000 0.538
O 3.612 2.269 -1.057
O 3.612 -1.341 2.718
O 0.000 1.343 2.199
O 3.612 1.341 2.718
O 2.269 3.612 1.057
O 1.343 0.000 4.313
```

The 8 most intense peaks (2θ from 10° to 90°), by angle:
2θ 17.36, I = 42
2θ 18.34, I = 38
2θ 24.65, I = 100
2θ 30.90, I = 24
2θ 32.61, I = 71
2θ 37.18, I = 18
2θ 48.69, I = 60
2θ 61.45, I = 18

***

Record 4
Diffraction record for PmHgAs2O8. The PXRD pattern is computed, not measured: it uses a structure optimized by DFT (GGA-PBE) and Cu Kα (weighted mean of Kα1 and Kα2).
Peak positions follow from Bragg's law for the DFT cell and can differ from measured ones.

Structural model:
```
12
Lattice="-3.674 3.674 3.260 3.674 -3.674 3.260 3.674 3.674 -3.260" Properties=species:S:1:pos:R:3 pbc="T T T"
Pm 0.000 0.000 0.000
Hg 3.674 0.000 1.630
As 0.000 0.000 3.260
As 0.000 3.674 1.630
O 2.383 3.674 -1.147
O 1.292 0.000 2.112
O 0.000 2.341 0.542
O 3.674 2.383 1.147
O 0.000 5.008 0.542
O 0.000 1.292 4.407
O -1.334 3.674 2.718
O 1.334 3.674 2.718
```

The 8 most intense peaks (2θ from 10° to 90°), by angle:
2θ 18.19, I = 23
2θ 24.22, I = 100
2θ 32.42, I = 75
2θ 34.52, I = 25
2θ 48.08, I = 61
2θ 49.62, I = 16
2θ 60.53, I = 18
2θ 71.59, I = 15

***

Record 5
Diffraction record for Ca3Ge4Au7. The PXRD pattern is computed, not measured: it uses a structure optimized by DFT (GGA-PBE) and Cu Kα (weighted mean of Kα1 and Kα2).
Peak positions follow from Bragg's law for the DFT cell and can differ from measured ones.

Structural model:
```
28
Lattice="9.946 0.000 0.000 0.000 13.069 0.000 0.000 0.000 4.468" Properties=species:S:1:pos:R:3 pbc="T T T"
Ca 0.000 0.000 0.000
Ca 0.029 4.089 0.000
Ca 4.944 10.624 2.234
Ca 4.973 6.534 2.234
Ca 5.002 2.445 2.234
Ca 9.918 8.979 0.000
Ge 1.459 10.637 2.234
Ge 2.290 8.112 2.234
Ge 2.683 1.578 0.000
Ge 3.514 4.103 0.000
Ge 6.432 8.966 0.000
Ge 7.263 11.491 0.000
Ge 7.656 4.956 2.234
Ge 8.488 2.432 2.234
Au 0.000 6.534 2.234
Au 1.069 2.075 2.234
Au 1.942 6.527 0.000
Au 2.423 4.703 2.234
Au 2.550 11.237 0.000
Au 3.031 13.061 2.234
Au 3.904 8.609 0.000
Au 4.973 0.000 0.000
Au 6.042 4.459 0.000
Au 6.915 0.007 2.234
Au 7.396 1.831 0.000
Au 7.523 8.365 2.234
Au 8.004 6.542 0.000
Au 8.877 10.994 2.234
```

The 8 most intense peaks (2θ from 10° to 90°), by angle:
2θ 17.84, I = 19
2θ 22.28, I = 34
2θ 30.21, I = 20
2θ 33.93, I = 100
2θ 36.44, I = 32
2θ 40.37, I = 38
2θ 41.46, I = 20
2θ 42.16, I = 21

***

Record 6
Diffraction record for Na2PuI5. The PXRD pattern is computed, not measured: it uses a structure optimized by DFT (GGA-PBE) and Cu Kα (weighted mean of Kα1 and Kα2).
Peak positions follow from Bragg's law for the DFT cell and can differ from measured ones.

Structural model:
```
16
Lattice="3.131 -7.709 0.000 3.131 7.709 0.000 0.000 0.000 15.504" Properties=species:S:1:pos:R:3 pbc="T T T"
Na 3.131 5.307 8.596
Na 3.131 5.307 14.660
Na 3.131 -5.307 0.844
Na 3.131 -5.307 6.908
Pu 3.131 4.729 3.876
Pu 3.131 -4.729 11.628
I 3.131 6.969 1.840
I 3.131 6.969 5.912
I 3.131 3.482 11.628
I 3.131 2.777 1.402
I 3.131 2.777 6.350
I 3.131 -2.777 9.154
I 3.131 -2.777 14.102
I 3.131 -3.482 3.876
I 3.131 -6.969 9.592
I 3.131 -6.969 13.664
```

The 8 most intense peaks (2θ from 10° to 90°), by angle:
2θ 11.46, I = 65
2θ 15.27, I = 33
2θ 16.28, I = 100
2θ 25.74, I = 37
2θ 28.50, I = 61
2θ 28.90, I = 83
2θ 32.27, I = 47
2θ 41.04, I = 64

***

Record 7
Diffraction record for RbMg2InPb2. The PXRD pattern is computed, not measured: it uses a structure optimized by DFT (GGA-PBE) and Cu Kα (weighted mean of Kα1 and Kα2).
Peak positions follow from Bragg's law for the DFT cell and can differ from measured ones.

Structural model:
```
12
Lattice="8.188 0.000 0.000 0.000 10.740 0.000 0.000 0.000 5.158" Properties=species:S:1:pos:R:3 pbc="T T T"
Rb 0.000 0.000 0.000
Rb 4.094 5.370 2.579
Mg 0.707 2.963 2.579
Mg 3.387 8.333 0.000
Mg 4.801 2.407 0.000
Mg 7.481 7.777 2.579
In 0.000 5.370 0.000
In 4.094 0.000 2.579
Pb 2.012 3.292 0.000
Pb 2.082 8.661 2.579
Pb 6.106 2.078 2.579
Pb 6.176 7.448 0.000
```

The 8 most intense peaks (2θ from 10° to 90°), by angle:
2θ 19.77, I = 38
2θ 21.98, I = 100
2θ 26.32, I = 30
2θ 27.39, I = 57
2θ 34.79, I = 28
2θ 37.66, I = 33
2θ 38.24, I = 37
2θ 44.84, I = 30